LaZn13: theoretical X-ray diffraction stick pattern (Cu Kα X-rays), based on DFT lattice parameters and positions (PBE).
Intensities are scaled so that the largest is 100.

Atomic structure:
Cell: 8.588 8.588 8.588 Å, 60.00 60.00 60.00°
Fractional coordinates of all 28 atoms:
La1 0.250 0.250 0.250
La2 0.750 0.750 0.750
Zn1 0.000 0.000 0.000
Zn2 0.058 0.300 0.700
Zn3 0.058 0.700 0.942
Zn4 0.058 0.942 0.300
Zn5 0.200 0.442 0.800
Zn6 0.200 0.558 0.442
Zn7 0.200 0.800 0.558
Zn8 0.300 0.058 0.942
Zn9 0.300 0.700 0.058
Zn10 0.300 0.942 0.700
Zn11 0.442 0.200 0.558
Zn12 0.442 0.558 0.800
Zn13 0.442 0.800 0.200
Zn14 0.500 0.500 0.500
Zn15 0.558 0.200 0.800
Zn16 0.558 0.442 0.200
Zn17 0.558 0.800 0.442
Zn18 0.700 0.058 0.300
Zn19 0.700 0.300 0.942
Zn20 0.700 0.942 0.058
Zn21 0.800 0.200 0.442
Zn22 0.800 0.442 0.558
Zn23 0.800 0.558 0.200
Zn24 0.942 0.058 0.700
Zn25 0.942 0.300 0.058
Zn26 0.942 0.700 0.300

Top 6 peaks for 10 to 90 degrees two-theta, low angle first:
2θ = 32.98°, rel. 44
2θ = 36.24°, rel. 89
2θ = 44.11°, rel. 100
2θ = 44.77°, rel. 26
2θ = 47.34°, rel. 19
2θ = 70.66°, rel. 18